1.
Calculated powder XRD pattern
Compound: ZnPb
Radiation: CuKα
Structure: a structure optimized by DFT (PBE)

Principal peaks in the range 2θ from 15° to 90°, by intensity:
Position (°2θ)	Rel. int.
38.89	100.0
35.67	97.4
61.85	67.5
40.40	66.7
30.26	56.8
26.13	55.8
28.30	55.5
56.16	43.3
65.17	32.2
23.86	30.6
77.56	23.7
48.83	20.3

Cell and atoms:
Cell: 6.8212 6.8212 3.7301 Å, 90.00 90.00 120.00°
Element x y z (fractional)
Zn  0.0000  0.2220  0.0000
Zn  0.2220  0.0000  0.0000
Zn  0.7780  0.7780  0.0000
Pb  0.0000  0.5665  0.5000
Pb  0.4335  0.4335  0.5000
Pb  0.5665  0.0000  0.5000

=====

2.
Calculated powder XRD pattern
Compound: ZnPb
Radiation: CuKα
Structure: a structure optimized by DFT (PBE)

Principal peaks in the range 2θ from 15° to 90°, by intensity:
Position (°2θ)	Rel. int.
34.32	100.0
61.47	37.5
20.82	25.6
49.33	18.1
82.57	16.6
40.48	15.1
72.33	11.6
54.09	6.8
76.22	5.4
65.65	5.3
86.33	2.1

Cell and atoms:
Cell: 7.3899 7.3899 7.3899 Å, 90.00 90.00 90.00°
Element x y z (fractional)
Zn  0.1250  0.1250  0.1250
Zn  0.1250  0.6250  0.6250
Zn  0.3750  0.3750  0.8750
Zn  0.3750  0.8750  0.3750
Zn  0.6250  0.1250  0.6250
Zn  0.6250  0.6250  0.1250
Zn  0.8750  0.3750  0.3750
Zn  0.8750  0.8750  0.8750
Pb  0.1250  0.1250  0.6250
Pb  0.1250  0.6250  0.1250
Pb  0.3750  0.3750  0.3750
Pb  0.3750  0.8750  0.8750
Pb  0.6250  0.1250  0.1250
Pb  0.6250  0.6250  0.6250
Pb  0.8750  0.3750  0.8750
Pb  0.8750  0.8750  0.3750

=====

3.
Calculated powder XRD pattern
Compound: ZnPb
Radiation: CuKα
Structure: a structure optimized by DFT (PBE)

Principal peaks in the range 2θ from 15° to 90°, by intensity:
Position (°2θ)	Rel. int.
32.53	100.0
30.79	98.7
39.35	68.8
37.35	67.8
34.84	67.1
33.82	66.8
28.85	63.6
26.73	44.8
34.42	40.5
31.40	40.1
55.06	34.6
58.53	31.5

Cell and atoms:
Cell: 5.9028 6.0249 10.9024 Å, 90.00 90.00 90.00°
Element x y z (fractional)
Zn  0.1393  0.1354  0.4824
Zn  0.1444  0.6022  0.8360
Zn  0.3556  0.3978  0.3360
Zn  0.3607  0.8646  0.9824
Zn  0.6393  0.3646  0.5176
Zn  0.6444  0.8978  0.1640
Zn  0.8556  0.1022  0.6640
Zn  0.8607  0.6354  0.0176
Pb  0.1255  0.6400  0.5622
Pb  0.1480  0.8542  0.2411
Pb  0.3520  0.1458  0.7411
Pb  0.3745  0.3600  0.0622
Pb  0.6255  0.8600  0.4378
Pb  0.6480  0.6458  0.7589
Pb  0.8520  0.3542  0.2589
Pb  0.8745  0.1400  0.9378

=====

4.
Calculated powder XRD pattern
Compound: Zn12Pb
Radiation: CuKα
Structure: a structure optimized by DFT (PBE)

Principal peaks in the range 2θ from 15° to 90°, by intensity:
Position (°2θ)	Rel. int.
39.85	100.0
39.22	77.3
40.06	59.9
34.27	47.9
27.74	41.3
44.27	26.9
64.24	23.7
72.63	23.0
70.47	21.2
72.21	20.4
33.55	19.6
84.30	17.6

Cell and atoms:
Cell: 6.9044 6.9044 6.9044 Å, 98.61 98.61 134.48°
Element x y z (fractional)
Zn  0.0000  0.0000  0.5000
Zn  0.0000  0.2278  0.2278
Zn  0.0000  0.5000  0.0000
Zn  0.0000  0.7722  0.7722
Zn  0.1455  0.5000  0.6455
Zn  0.2278  0.0000  0.2278
Zn  0.5000  0.0000  0.0000
Zn  0.5000  0.1455  0.6455
Zn  0.5000  0.5000  0.5000
Zn  0.5000  0.8545  0.3545
Zn  0.7722  0.0000  0.7722
Zn  0.8545  0.5000  0.3545
Pb  0.5000  0.5000  0.0000